Mn2Pd2Au3: simulated powder XRD pattern (Cu Kα (λ = 1.5418 Å)), based on a DFT-relaxed cell (PBE, Alexandria).
No peak broadening, texture or thermal motion is included.

Main lines, sorted by position (2θ from 5° to 70°):
Position (°2θ)  d_spacing  Rel. int.
23.08  3.854  43.1
23.78  3.742  23.3
27.08  3.293  8.5
37.86  2.377  58.6
38.35  2.347  58.3
40.22  2.242  100.0
41.05  2.199  96.2
41.96  2.153  17.3
45.62  1.988  9.0
54.98  1.670  40.0
62.51  1.486  13.6
69.39  1.354  18.3

Structural model:
```
data_Mn2Pd2Au3
_symmetry_space_group_name_H-M 'P 1'
_symmetry_Int_Tables_number 1
_cell_length_a 4.4279
_cell_length_b 4.4279
_cell_length_c 7.3262
_cell_angle_alpha 111.80
_cell_angle_beta 111.80
_cell_angle_gamma 64.03
loop_
_symmetry_equiv_pos_as_xyz
'x,y,z'
loop_
_atom_site_label
_atom_site_type_symbol
_atom_site_fract_x
_atom_site_fract_y
_atom_site_fract_z
Mn1 Mn 0.0767 0.0767 0.2364
Mn2 Mn 0.9233 0.9233 0.7636
Pd1 Pd 0.2167 0.2167 0.6510
Pd2 Pd 0.7833 0.7833 0.3490
Au1 Au 0.3568 0.3568 0.0803
Au2 Au 0.5000 0.5000 0.5000
Au3 Au 0.6432 0.6432 0.9197
```

***

BaS8Cl2: simulated powder XRD pattern (Cu Kα (λ = 1.5418 Å)), based on a DFT-relaxed cell (PBE, Alexandria).
No peak broadening, texture or thermal motion is included.

Main lines, sorted by position (2θ from 5° to 70°):
Position (°2θ)  d_spacing  Rel. int.
8.14  10.856  69.2
12.97  6.827  35.8
15.98  5.547  100.0
18.05  4.915  49.7
19.93  4.454  45.4
23.75  3.747  24.3
26.73  3.335  53.2
27.28  3.270  46.2
29.82  2.996  33.5
31.78  2.815  28.7
32.86  2.725  41.6
34.78  2.580  25.5

Structural model:
```
data_BaS8Cl2
_symmetry_space_group_name_H-M 'P 1'
_symmetry_Int_Tables_number 1
_cell_length_a 4.4680
_cell_length_b 7.5463
_cell_length_c 11.1456
_cell_angle_alpha 102.56
_cell_angle_beta 93.08
_cell_angle_gamma 92.54
loop_
_symmetry_equiv_pos_as_xyz
'x,y,z'
loop_
_atom_site_label
_atom_site_type_symbol
_atom_site_fract_x
_atom_site_fract_y
_atom_site_fract_z
Ba1 Ba 0.0000 0.0000 0.0000
S1 S 0.1081 0.4616 0.8179
S2 S 0.1329 0.2772 0.6269
S3 S 0.1381 0.6135 0.4747
S4 S 0.2168 0.3854 0.2061
S5 S 0.7832 0.6146 0.7939
S6 S 0.8619 0.3865 0.5253
S7 S 0.8671 0.7228 0.3731
S8 S 0.8919 0.5384 0.1821
Cl1 Cl 0.4873 0.0977 0.8439
Cl2 Cl 0.5127 0.9023 0.1561
```

***

PmNd2Sm2Y6: simulated powder XRD pattern (Cu Kα (λ = 1.5418 Å)), based on a DFT-relaxed cell (PBE, Alexandria).
No peak broadening, texture or thermal motion is included.

Main lines, sorted by position (2θ from 5° to 70°):
Position (°2θ)  d_spacing  Rel. int.
16.64  5.327  7.8
30.49  2.932  32.0
30.61  2.921  25.4
31.12  2.874  40.1
31.83  2.812  100.0
33.65  2.663  18.6
44.21  2.049  18.4
46.49  1.953  15.0
52.46  1.744  11.9
55.82  1.647  20.7
61.63  1.505  16.4
62.27  1.491  15.7

Structural model:
```
data_PmNd2Sm2Y6
_symmetry_space_group_name_H-M 'P 1'
_symmetry_Int_Tables_number 1
_cell_length_a 6.7203
_cell_length_b 6.7203
_cell_length_c 10.6540
_cell_angle_alpha 90.00
_cell_angle_beta 90.00
_cell_angle_gamma 129.37
loop_
_symmetry_equiv_pos_as_xyz
'x,y,z'
loop_
_atom_site_label
_atom_site_type_symbol
_atom_site_fract_x
_atom_site_fract_y
_atom_site_fract_z
Pm1 Pm 0.0000 0.0000 0.0000
Nd1 Nd 0.3677 0.6323 0.5000
Nd2 Nd 0.6323 0.3677 0.5000
Sm1 Sm 0.2925 0.7075 0.0000
Sm2 Sm 0.7075 0.2925 0.0000
Y1 Y 0.1518 0.8482 0.2954
Y2 Y 0.1518 0.8482 0.7046
Y3 Y 0.5000 0.5000 0.2060
Y4 Y 0.5000 0.5000 0.7940
Y5 Y 0.8482 0.1518 0.2954
Y6 Y 0.8482 0.1518 0.7046
```

***

Dy3Co3Ir: simulated powder XRD pattern (Cu Kα (λ = 1.5418 Å)), based on a DFT-relaxed cell (PBE, Alexandria).
No peak broadening, texture or thermal motion is included.

Main lines, sorted by position (2θ from 5° to 70°):
Position (°2θ)  d_spacing  Rel. int.
31.54  2.837  78.6
34.08  2.631  83.7
34.38  2.609  84.2
35.15  2.553  40.6
36.18  2.482  44.0
37.04  2.427  100.0
40.90  2.206  48.2
42.47  2.128  32.1
42.66  2.119  63.3
55.70  1.650  45.9
57.13  1.612  30.1
59.41  1.556  25.6

Structural model:
```
data_Dy3Co3Ir
_symmetry_space_group_name_H-M 'P 1'
_symmetry_Int_Tables_number 1
_cell_length_a 5.3983
_cell_length_b 5.3983
_cell_length_c 12.4072
_cell_angle_alpha 90.00
_cell_angle_beta 90.00
_cell_angle_gamma 133.77
loop_
_symmetry_equiv_pos_as_xyz
'x,y,z'
loop_
_atom_site_label
_atom_site_type_symbol
_atom_site_fract_x
_atom_site_fract_y
_atom_site_fract_z
Dy1 Dy 0.0159 0.9841 0.7500
Dy2 Dy 0.2764 0.7236 0.1034
Dy3 Dy 0.2764 0.7236 0.3966
Dy4 Dy 0.7236 0.2764 0.6034
Dy5 Dy 0.7236 0.2764 0.8966
Dy6 Dy 0.9841 0.0159 0.2500
Co1 Co 0.3161 0.6839 0.7500
Co2 Co 0.4323 0.5677 0.5902
Co3 Co 0.4323 0.5677 0.9098
Co4 Co 0.5677 0.4323 0.0902
Co5 Co 0.5677 0.4323 0.4098
Co6 Co 0.6839 0.3161 0.2500
Ir1 Ir 0.0000 0.0000 0.0000
Ir2 Ir 0.0000 0.0000 0.5000
```